This entry pairs a crystal structure of BaCaGe4 with its simulated powder diffractogram. Radiation: copper Kα. Structure: DFT lattice parameters and positions (PBE).

```
BaCaGe4
1.0
8.6550 0.0000 0.0000
0.0000 16.2111 0.0000
0.0000 0.0000 4.6423
Ba Ca Ge
4 4 16
direct
0.1250 0.1472 0.0000
0.3750 0.6472 0.0000
0.6250 0.3528 0.0000
0.8750 0.8528 0.0000
0.1317 0.4124 0.0000
0.3683 0.9124 0.0000
0.6317 0.0876 0.0000
0.8683 0.5876 0.0000
0.0108 0.6965 0.5000
0.1192 0.5472 0.5000
0.1268 0.9589 0.5000
0.2135 0.8077 0.5000
0.2865 0.3077 0.5000
0.3732 0.4589 0.5000
0.3808 0.0472 0.5000
0.4892 0.1965 0.5000
0.5108 0.8035 0.5000
0.6192 0.9528 0.5000
0.6268 0.5411 0.5000
0.7135 0.6923 0.5000
0.7865 0.1923 0.5000
0.8732 0.0411 0.5000
0.8808 0.4528 0.5000
0.9892 0.3035 0.5000
```

Peak list (10 most intense, 2θ = 5–70°, in order of rising 2θ)
| two_theta | I_rel |
| --- | --- |
| 24.37 | 38 |
| 27.34 | 48 |
| 28.74 | 100 |
| 29.25 | 57 |
| 31.06 | 38 |
| 32.79 | 52 |
| 34.57 | 45 |
| 35.28 | 27 |
| 38.80 | 57 |
| 47.71 | 33 |

=====

This entry pairs a crystal structure of BaCaGe4 with its simulated powder diffractogram. Radiation: copper Kα. Structure: DFT lattice parameters and positions (PBE).

```
BaCaGe4
1.0
4.1187 0.0000 0.0000
0.0000 8.2768 0.0000
0.0000 0.0000 9.3450
Ba Ca Ge
2 2 8
direct
0.0000 0.0000 0.0000
0.5000 0.5000 0.5000
0.0000 0.0000 0.5000
0.5000 0.5000 0.0000
0.0000 0.3384 0.2288
0.0000 0.3384 0.7712
0.0000 0.6616 0.2288
0.0000 0.6616 0.7712
0.5000 0.1616 0.2712
0.5000 0.1616 0.7288
0.5000 0.8384 0.2712
0.5000 0.8384 0.7288
```

Peak list (10 most intense, 2θ = 5–70°, in order of rising 2θ)
| two_theta | I_rel |
| --- | --- |
| 23.61 | 15 |
| 28.82 | 51 |
| 30.89 | 100 |
| 38.54 | 24 |
| 39.31 | 54 |
| 43.98 | 24 |
| 48.09 | 16 |
| 53.43 | 18 |
| 56.22 | 31 |
| 59.87 | 13 |

=====

This entry pairs a crystal structure of Ba4CaH10 with its simulated powder diffractogram. Radiation: copper Kα. Structure: DFT lattice parameters and positions (PBE).

```
Ba4CaH10
1.0
2.1835 1.2607 17.6584
-2.1835 1.2607 17.6584
0.0000 -2.5213 17.6584
Ba Ca H
4 1 10
direct
0.1050 0.1050 0.1050
0.2984 0.2984 0.2984
0.7016 0.7016 0.7016
0.8950 0.8950 0.8950
0.5000 0.5000 0.5000
0.0530 0.0530 0.0530
0.1555 0.1555 0.1555
0.2465 0.2465 0.2465
0.3501 0.3501 0.3501
0.4565 0.4565 0.4565
0.5435 0.5435 0.5435
0.6499 0.6499 0.6499
0.7535 0.7535 0.7535
0.8445 0.8445 0.8445
0.9470 0.9470 0.9470
```

Peak list (10 most intense, 2θ = 5–70°, in order of rising 2θ)
| two_theta | I_rel |
| --- | --- |
| 25.00 | 100 |
| 25.22 | 29 |
| 29.01 | 62 |
| 41.35 | 27 |
| 41.63 | 22 |
| 48.93 | 16 |
| 49.05 | 28 |
| 49.29 | 11 |
| 51.30 | 13 |
| 65.94 | 13 |

=====

This entry pairs a crystal structure of Ba2Ca2H7 with its simulated powder diffractogram. Radiation: copper Kα. Structure: DFT lattice parameters and positions (PBE).

```
Ba2Ca2H7
1.0
3.8591 -4.3171 0.0000
3.8591 4.3171 0.0000
0.0000 0.0000 5.7655
Ba Ca H
2 2 7
direct
0.2417 0.2417 0.0000
0.7583 0.7583 0.0000
0.2769 0.7231 0.5000
0.7231 0.2769 0.5000
0.0000 0.0000 0.5000
0.0000 0.5000 0.2677
0.0000 0.5000 0.7323
0.5000 0.0000 0.2677
0.5000 0.0000 0.7323
0.5000 0.5000 0.2734
0.5000 0.5000 0.7266
```

Peak list (10 most intense, 2θ = 5–70°, in order of rising 2θ)
| two_theta | I_rel |
| --- | --- |
| 15.37 | 41 |
| 20.57 | 23 |
| 23.05 | 17 |
| 25.78 | 100 |
| 27.82 | 85 |
| 31.06 | 88 |
| 34.85 | 26 |
| 44.49 | 46 |
| 51.00 | 27 |
| 54.46 | 24 |